[1]
This entry pairs a crystal structure of K3Be2SbO6 with its calculated powder diffractogram. Radiation: Cu Kα X-rays. Structure: a GGA-PBE-relaxed structure.

Largest 6 diffraction maxima, in order of falling intensity, 2θ from 10° to 90°:
| d_spacing | I_rel |
| --- | --- |
| 2.778 | 100 |
| 4.755 | 82 |
| 6.847 | 71 |
| 2.745 | 60 |
| 1.953 | 50 |
| 3.906 | 46 |

Structure:
Lattice parameters (Å, degrees): 5.4908 5.4908 6.8466 90.00 90.00 120.00
Space group P-3m1 (No. 164)
Asymmetric unit:
K: 0.0000 0.0000 0.0000 [1 per cell]
K: 0.3333 0.6667 0.7456 [2 per cell]
Be: 0.3333 0.6667 0.3315 [2 per cell]
Sb: 0.0000 0.0000 0.5000 [1 per cell]
O: 0.1701 0.3401 0.3223 [6 per cell]

---

[2]
This entry pairs a crystal structure of KBe4Sn3O12 with its calculated powder diffractogram. Radiation: Cu Kα X-rays. Structure: a GGA-PBE-relaxed structure.

Largest 6 diffraction maxima, in order of falling intensity, 2θ from 10° to 90°:
| d_spacing | I_rel |
| --- | --- |
| 3.919 | 100 |
| 2.984 | 92 |
| 5.197 | 85 |
| 2.116 | 70 |
| 3.129 | 43 |
| 1.557 | 24 |

Structure:
Lattice parameters (Å, degrees): 10.3936 10.3936 7.9699 90.00 90.00 120.00
Space group R32 (No. 155, hexagonal axes)
Asymmetric unit:
K: 0.0000 0.0000 0.0000 [3 per cell]
Be: 0.0000 0.0000 0.5000 [3 per cell]
Be: 0.0000 0.4467 0.5000 [9 per cell]
Sn: 0.0000 0.5584 0.0000 [9 per cell]
O: 0.0000 0.5945 0.5000 [9 per cell]
O: 0.0000 0.8496 0.5000 [9 per cell]
O: 0.0391 0.2341 0.1866 [18 per cell]

---

[3]
This entry pairs a crystal structure of K2TaBeO4 with its calculated powder diffractogram. Radiation: Cu Kα X-rays. Structure: a GGA-PBE-relaxed structure.

Largest 6 diffraction maxima, in order of falling intensity, 2θ from 10° to 90°:
| d_spacing | I_rel |
| --- | --- |
| 4.516 | 100 |
| 2.696 | 83 |
| 2.923 | 46 |
| 4.134 | 42 |
| 1.640 | 37 |
| 2.454 | 30 |

Structure:
Lattice parameters (Å, degrees): 5.846 5.846 7.112 90.00 90.00 90.00
Space group I-4 (No. 82)
Asymmetric unit:
K: 0.000 0.000 0.000 [2 per cell]
K: 0.000 0.500 0.250 [2 per cell]
Ta: 0.000 0.500 0.750 [2 per cell]
Be: 0.000 0.000 0.500 [2 per cell]
O: 0.092 0.212 0.641 [8 per cell]

---

[4]
This entry pairs a crystal structure of KUBe2O6 with its calculated powder diffractogram. Radiation: Cu Kα X-rays. Structure: a GGA-PBE-relaxed structure.

Largest 6 diffraction maxima, in order of falling intensity, 2θ from 10° to 90°:
| d_spacing | I_rel |
| --- | --- |
| 4.819 | 100 |
| 4.631 | 62 |
| 3.861 | 40 |
| 3.226 | 37 |
| 3.396 | 36 |
| 3.134 | 29 |

Structure:
Lattice parameters (Å, degrees): 9.723 9.992 5.743 90.00 107.72 90.00
Space group C2/c (No. 15)
Asymmetric unit:
K: 0.000 0.087 0.250 [4 per cell]
U: 0.000 0.306 0.750 [4 per cell]
Be: 0.206 0.429 0.147 [8 per cell]
O: 0.074 0.316 0.101 [8 per cell]
O: 0.141 0.149 0.740 [8 per cell]
O: 0.178 0.459 0.839 [8 per cell]

---

[5]
This entry pairs a crystal structure of KBeP2 with its calculated powder diffractogram. Radiation: Cu Kα X-rays. Structure: a GGA-PBE-relaxed structure.

Largest 6 diffraction maxima, in order of falling intensity, 2θ from 10° to 90°:
| d_spacing | I_rel |
| --- | --- |
| 3.169 | 100 |
| 2.910 | 62 |
| 2.416 | 55 |
| 2.270 | 54 |
| 3.570 | 44 |
| 2.636 | 38 |

Structure:
Lattice parameters (Å, degrees): 3.997 3.283 6.338 90.00 97.55 90.00
Space group Pm (No. 6)
Asymmetric unit:
K: 0.000 0.000 0.000 [1 per cell]
Be: 0.927 0.500 0.513 [1 per cell]
P: 0.442 0.500 0.653 [1 per cell]
P: 0.600 0.000 0.402 [1 per cell]